Computed X-ray diffraction stick pattern of Pr3Ho3Tl2 for Cu Kα, 1.54184 Å, from a PBE-relaxed structure.
Kinematic intensities with the Lorentz-polarization factor, no thermal factor.

Atomic structure:
```
data_Pr3Ho3Tl2
_cell_length_a 8.8190
_cell_length_b 8.8190
_cell_length_c 10.9268
_cell_angle_alpha 90.00
_cell_angle_beta 90.00
_cell_angle_gamma 120.00
_symmetry_space_group_name_H-M 'R 3 2'
_symmetry_Int_Tables_number 155
_symmetry_space_group_name_Hall 'R 3 2"'
loop_
_atom_site_label
_atom_site_type_symbol
_atom_site_fract_x
_atom_site_fract_y
_atom_site_fract_z
Pr1 Pr 0.0000 0.2590 0.0000
Ho1 Ho 0.0000 0.7540 0.5000
Tl1 Tl 0.0000 0.0000 0.2479
```

Peak list (12 most intense, 2θ from 15° to 90°, sorted by position)
| h k l | 2θ (°) | I/Imax |
| --- | --- | --- |
| 2 0 2 | 28.52 | 57 |
| 1 1 3 | 31.87 | 66 |
| 2 1 1 | 32.07 | 62 |
| 1 0 4 | 34.88 | 33 |
| 3 0 0 | 35.19 | 100 |
| 1 2 5 | 52.52 | 16 |
| 3 2 1 | 52.92 | 15 |
| 1 1 6 | 54.52 | 19 |
| 1 3 4 | 54.84 | 19 |
| 2 3 2 | 55.07 | 36 |
| 4 0 4 | 59.02 | 26 |
| 2 2 6 | 66.60 | 11 |


Computed X-ray diffraction stick pattern of LiAgRuCl6 for Cu Kα, 1.54184 Å, from a PBE-relaxed structure.
Kinematic intensities with the Lorentz-polarization factor, no thermal factor.

Atomic structure:
```
data_LiAgRuCl6
_cell_length_a 6.3208
_cell_length_b 6.3208
_cell_length_c 11.6550
_cell_angle_alpha 90.00
_cell_angle_beta 90.00
_cell_angle_gamma 120.00
_symmetry_space_group_name_H-M 'P -3 1 c'
_symmetry_Int_Tables_number 163
_symmetry_space_group_name_Hall '-P 3 2c'
loop_
_atom_site_label
_atom_site_type_symbol
_atom_site_fract_x
_atom_site_fract_y
_atom_site_fract_z
Li1 Li 0.3333 0.6667 0.2500
Ag1 Ag 0.0000 0.0000 0.0000
Ru1 Ru 0.3333 0.6667 0.7500
Cl1 Cl 0.0217 0.3694 0.6336
```

Peak list (12 most intense, 2θ from 15° to 90°, sorted by position)
| h k l | 2θ (°) | I/Imax |
| --- | --- | --- |
| 1 0 1 | 17.90 | 56 |
| 1 0 2 | 22.28 | 100 |
| 1 1 0 | 28.20 | 24 |
| 2 -1 2 | 32.22 | 44 |
| 2 0 2 | 36.26 | 26 |
| 1 1 4 | 42.18 | 68 |
| 2 1 2 | 46.58 | 28 |
| 3 0 0 | 49.98 | 38 |
| 4 -1 2 | 63.30 | 11 |
| 4 -2 4 | 67.42 | 14 |
| 3 0 8 | 85.24 | 11 |
| 4 1 4 | 88.45 | 15 |


Computed X-ray diffraction stick pattern of BaAcSiN3 for Cu Kα, 1.54184 Å, from a PBE-relaxed structure.
Kinematic intensities with the Lorentz-polarization factor, no thermal factor.

Atomic structure:
```
data_BaAcSiN3
_cell_length_a 13.4167
_cell_length_b 4.0690
_cell_length_c 7.9616
_cell_angle_alpha 90.00
_cell_angle_beta 107.17
_cell_angle_gamma 90.00
_symmetry_space_group_name_H-M 'C 1 2/m 1'
_symmetry_Int_Tables_number 12
loop_
_symmetry_equiv_pos_as_xyz
'x,y,z'
'-x,-y,-z'
'-x,y,-z'
'x,-y,z'
'x+1/2,y+1/2,z'
'-x+1/2,-y+1/2,-z'
'-x+1/2,y+1/2,-z'
'x+1/2,-y+1/2,z'
loop_
_atom_site_label
_atom_site_type_symbol
_atom_site_fract_x
_atom_site_fract_y
_atom_site_fract_z
Ba1 Ba 0.1429 0.0000 0.0689
Ac1 Ac 0.1495 0.0000 0.5778
Si1 Si 0.0022 0.5000 0.2701
N1 N 0.0024 0.0000 0.2830
N2 N 0.1362 0.5000 0.8018
N3 N 0.1412 0.5000 0.3347
```

Peak list (12 most intense, 2θ from 15° to 90°, sorted by position)
| h k l | 2θ (°) | I/Imax |
| --- | --- | --- |
| 1 1 0 | 22.93 | 44 |
| 2 0 -2 | 23.40 | 30 |
| 4 0 0 | 27.84 | 35 |
| 3 1 0 | 30.33 | 71 |
| 2 0 2 | 30.70 | 81 |
| 1 1 -2 | 31.44 | 100 |
| 5 1 -2 | 42.48 | 53 |
| 0 2 0 | 44.53 | 22 |
| 2 0 -4 | 45.58 | 19 |
| 5 1 2 | 53.64 | 24 |
| 2 2 2 | 55.02 | 29 |
| 1 1 4 | 55.73 | 28 |


Computed X-ray diffraction stick pattern of AlHg2Se for Cu Kα, 1.54184 Å, from a PBE-relaxed structure.
Kinematic intensities with the Lorentz-polarization factor, no thermal factor.

Atomic structure:
```
data_AlHg2Se
_cell_length_a 6.4332
_cell_length_b 3.7047
_cell_length_c 9.3262
_cell_angle_alpha 90.00
_cell_angle_beta 109.14
_cell_angle_gamma 90.00
_symmetry_space_group_name_H-M 'C 1 m 1'
_symmetry_Int_Tables_number 8
loop_
_symmetry_equiv_pos_as_xyz
'x,y,z'
'x,-y,z'
'x+1/2,y+1/2,z'
'x+1/2,-y+1/2,z'
loop_
_atom_site_label
_atom_site_type_symbol
_atom_site_fract_x
_atom_site_fract_y
_atom_site_fract_z
Al1 Al 0.0000 0.0000 0.0000
Hg1 Hg 0.0622 0.5000 0.7759
Hg2 Hg 0.2661 0.5000 0.5041
Se1 Se 0.4016 0.0000 0.1428
```

Peak list (12 most intense, 2θ from 15° to 90°, sorted by position)
| h k l | 2θ (°) | I/Imax |
| --- | --- | --- |
| 1 1 0 | 28.22 | 90 |
| 2 0 -2 | 29.74 | 77 |
| 0 0 3 | 30.44 | 55 |
| 1 1 1 | 31.64 | 100 |
| 1 1 -2 | 31.89 | 68 |
| 2 0 1 | 34.22 | 59 |
| 1 1 -3 | 38.09 | 66 |
| 0 2 0 | 49.19 | 25 |
| 3 1 -1 | 49.30 | 34 |
| 3 1 -2 | 49.47 | 24 |
| 2 2 -2 | 58.54 | 24 |
| 3 1 2 | 61.64 | 23 |


Computed X-ray diffraction stick pattern of Y3B2Pt9 for Cu Kα, 1.54184 Å, from a PBE-relaxed structure.
Kinematic intensities with the Lorentz-polarization factor, no thermal factor.

Atomic structure:
```
data_Y3B2Pt9
_cell_length_a 6.0192
_cell_length_b 6.0192
_cell_length_c 14.7126
_cell_angle_alpha 90.00
_cell_angle_beta 90.00
_cell_angle_gamma 120.00
_symmetry_space_group_name_H-M 'P 63/m m c'
_symmetry_Int_Tables_number 194
_symmetry_space_group_name_Hall '-P 6c 2c'
loop_
_atom_site_label
_atom_site_type_symbol
_atom_site_fract_x
_atom_site_fract_y
_atom_site_fract_z
Y1 Y 0.0000 0.0000 0.2500
Y2 Y 0.3333 0.6667 0.0792
B1 B 0.3333 0.6667 0.6585
Pt1 Pt 0.0117 0.5058 0.2500
Pt2 Pt 0.1598 0.3197 0.5808
```

Peak list (12 most intense, 2θ from 15° to 90°, sorted by position)
| h k l | 2θ (°) | I/Imax |
| --- | --- | --- |
| 1 0 2 | 20.89 | 8 |
| 1 1 0 | 29.70 | 7 |
| 2 0 1 | 34.96 | 20 |
| 0 0 6 | 36.60 | 100 |
| 2 0 3 | 39.14 | 65 |
| 2 0 4 | 42.51 | 36 |
| 2 0 5 | 46.54 | 16 |
| 2 0 7 | 56.20 | 6 |
| 2 2 0 | 61.67 | 41 |
| 2 0 9 | 67.65 | 13 |
| 2 2 6 | 73.89 | 37 |
| 4 0 3 | 75.49 | 10 |


Computed X-ray diffraction stick pattern of Rb2GeAsS4 for Cu Kα, 1.54184 Å, from a PBE-relaxed structure.
Kinematic intensities with the Lorentz-polarization factor, no thermal factor.

Atomic structure:
```
data_Rb2GeAsS4
_cell_length_a 7.2628
_cell_length_b 7.2628
_cell_length_c 9.8702
_cell_angle_alpha 90.00
_cell_angle_beta 90.00
_cell_angle_gamma 90.00
_symmetry_space_group_name_H-M 'I -4'
_symmetry_Int_Tables_number 82
loop_
_symmetry_equiv_pos_as_xyz
'x,y,z'
'y,-x,-z'
'-x,-y,z'
'-y,x,-z'
'x+1/2,y+1/2,z+1/2'
'y+1/2,-x+1/2,-z+1/2'
'-x+1/2,-y+1/2,z+1/2'
'-y+1/2,x+1/2,-z+1/2'
loop_
_atom_site_label
_atom_site_type_symbol
_atom_site_fract_x
_atom_site_fract_y
_atom_site_fract_z
Rb1 Rb 0.0000 0.0000 0.0000
Rb2 Rb 0.0000 0.5000 0.2500
Ge1 Ge 0.0000 0.5000 0.7500
As1 As 0.0000 0.0000 0.5000
S1 S 0.1400 0.2551 0.6270
```

Peak list (12 most intense, 2θ from 15° to 90°, sorted by position)
| h k l | 2θ (°) | I/Imax |
| --- | --- | --- |
| 2 0 0 | 24.51 | 26 |
| 1 1 2 | 25.02 | 100 |
| 1 2 1 | 28.94 | 9 |
| 2 2 0 | 34.94 | 22 |
| 3 1 2 | 43.46 | 40 |
| 2 0 4 | 44.39 | 29 |
| 2 2 4 | 51.35 | 11 |
| 4 2 0 | 56.68 | 12 |
| 3 3 2 | 56.94 | 9 |
| 1 1 6 | 58.96 | 9 |
| 1 5 2 | 68.57 | 10 |
| 1 3 6 | 70.40 | 10 |


Computed X-ray diffraction stick pattern of Zn13Cu3 for Cu Kα, 1.54184 Å, from a PBE-relaxed structure.
Kinematic intensities with the Lorentz-polarization factor, no thermal factor.

Atomic structure:
```
data_Zn13Cu3
_cell_length_a 5.5868
_cell_length_b 8.5163
_cell_length_c 9.4875
_cell_angle_alpha 90.00
_cell_angle_beta 90.00
_cell_angle_gamma 90.00
_symmetry_space_group_name_H-M 'A m m 2'
_symmetry_Int_Tables_number 38
loop_
_symmetry_equiv_pos_as_xyz
'x,y,z'
'-x,-y,z'
'-x,y,z'
'x,-y,z'
'x,y+1/2,z+1/2'
'-x,-y+1/2,z+1/2'
'-x,y+1/2,z+1/2'
'x,-y+1/2,z+1/2'
loop_
_atom_site_label
_atom_site_type_symbol
_atom_site_fract_x
_atom_site_fract_y
_atom_site_fract_z
Zn1 Zn 0.0000 0.0000 0.0000
Zn2 Zn 0.0000 0.0000 0.5083
Zn3 Zn 0.0000 0.2423 0.6769
Zn4 Zn 0.2508 0.0000 0.2511
Zn5 Zn 0.2548 0.2447 0.9229
Zn6 Zn 0.5000 0.0000 0.5098
Zn7 Zn 0.5000 0.2471 0.6735
Cu1 Cu 0.2564 0.0000 0.7585
Cu2 Cu 0.5000 0.0000 0.0076
```

Peak list (12 most intense, 2θ from 15° to 90°, sorted by position)
| h k l | 2θ (°) | I/Imax |
| --- | --- | --- |
| 2 0 2 | 37.36 | 24 |
| 0 0 4 | 37.93 | 13 |
| 0 4 0 | 42.46 | 34 |
| 2 2 2 | 43.17 | 100 |
| 0 2 4 | 43.68 | 46 |
| 2 4 2 | 57.82 | 13 |
| 4 0 0 | 67.00 | 8 |
| 2 0 6 | 68.14 | 15 |
| 2 6 2 | 78.18 | 15 |
| 4 4 0 | 82.62 | 9 |
| 4 2 4 | 83.46 | 12 |
| 2 4 6 | 83.68 | 17 |


Computed X-ray diffraction stick pattern of LaSc4S6 for Cu Kα, 1.54184 Å, from a PBE-relaxed structure.
Kinematic intensities with the Lorentz-polarization factor, no thermal factor.

Atomic structure:
```
data_LaSc4S6
_cell_length_a 3.7635
_cell_length_b 12.2116
_cell_length_c 19.0684
_cell_angle_alpha 90.00
_cell_angle_beta 90.00
_cell_angle_gamma 90.00
_symmetry_space_group_name_H-M 'C m c m'
_symmetry_Int_Tables_number 63
_symmetry_space_group_name_Hall '-C 2c 2'
loop_
_atom_site_label
_atom_site_type_symbol
_atom_site_fract_x
_atom_site_fract_y
_atom_site_fract_z
La1 La 0.0000 0.1562 0.2500
Sc1 Sc 0.0000 0.0946 0.6230
Sc2 Sc 0.0000 0.3594 0.5389
S1 S 0.0000 0.0000 0.0000
S2 S 0.0000 0.1696 0.7500
S3 S 0.0000 0.2676 0.0871
S4 S 0.0000 0.4586 0.6591
```

Peak list (12 most intense, 2θ from 15° to 90°, sorted by position)
| h k l | 2θ (°) | I/Imax |
| --- | --- | --- |
| 0 2 1 | 15.24 | 24 |
| 0 2 3 | 20.17 | 24 |
| 0 2 5 | 27.58 | 38 |
| 1 1 3 | 28.52 | 18 |
| 0 2 6 | 31.74 | 32 |
| 1 3 2 | 33.77 | 100 |
| 1 3 3 | 35.42 | 35 |
| 0 0 8 | 37.76 | 27 |
| 1 1 8 | 45.65 | 27 |
| 1 5 3 | 46.58 | 18 |
| 2 0 0 | 48.37 | 45 |
| 0 6 4 | 48.64 | 20 |